Record 1
Theoretical powder XRD pattern
Compound: LuS2
Radiation: copper Kα
Structure: DFT lattice parameters and positions (GGA-PBE)

Unit cell a=3.7928 b=3.7928 c=7.8164 alpha=90.00 beta=90.00 gamma=90.00
Positions (direct):
Lu  0.2500  0.2500  0.2264
Lu  0.7500  0.7500  0.7736
S  0.2500  0.2500  0.8695
S  0.2500  0.7500  0.5000
S  0.7500  0.2500  0.5000
S  0.7500  0.7500  0.1305

Top 10 peaks for 15° ≤ 2θ ≤ 90°, in order of rising 2θ:
2θ/deg	intensity	h k l
22.75	29	0 0 2
26.11	100	1 0 1
33.41	38	1 1 0
35.38	14	1 1 1
40.81	58	1 1 2
42.07	42	1 0 3
47.97	25	2 0 0
55.43	27	2 1 1
65.68	22	2 1 3
84.50	14	3 1 2



Record 2
Theoretical powder XRD pattern
Compound: H2Pb
Radiation: copper Kα
Structure: DFT lattice parameters and positions (GGA-PBE)

Unit cell a=3.3843 b=9.8459 c=4.4269 alpha=90.00 beta=130.84 gamma=90.00
Positions (direct):
H  0.0000  0.0430  0.0000
H  0.0000  0.9570  0.5000
H  0.0055  0.1174  0.9673
H  0.0055  0.8826  0.4673
Pb  0.0016  0.3774  0.4828
Pb  0.0016  0.6226  0.9828

Top 10 peaks for 15° ≤ 2θ ≤ 90°, in order of rising 2θ:
2θ/deg	intensity	h k l
27.17	17	0 3 0
28.15	66	0 1 1
32.33	100	0 2 1
35.05	20	1 0 0
36.25	18	1 1 0
36.50	18	0 4 0
38.40	33	0 3 1
51.50	14	1 4 0
61.16	17	1 2 1
63.09	15	0 6 1